Computed X-ray powder pattern of GdSnPdPt for Cu Kα (weighted mean of Kα1 and Kα2), from DFT lattice parameters and positions (GGA-PBE).

Structural model:
Cell: 4.5934 4.5934 9.0877 Å, 90.00 90.00 120.00°
Space group P-6m2 (No. 187)
Asymmetric unit:
Gd1 0.0000 0.0000 0.0000 x1
Gd2 0.3333 0.6667 0.5000 x1
Sn1 0.6667 0.3333 0.2511 x2
Pd1 0.3333 0.6667 0.1622 x2
Pt1 0.0000 0.0000 0.3354 x2

Top 6 peaks for 2θ = 10–80°, in order of rising 2θ:
2θ = 22.35°, rel. 194, (1 0 0)
2θ = 29.85°, rel. 207, (1 0 2)
2θ = 37.31°, rel. 1000, (1 0 3)
2θ = 39.23°, rel. 928, (1 1 0)
2θ = 55.25°, rel. 323, (2 0 3)
2θ = 69.84°, rel. 320, (2 1 3)

Computed X-ray powder pattern of RbZrHg3O4 for Cu Kα (weighted mean of Kα1 and Kα2), from DFT lattice parameters and positions (GGA-PBE).

Structural model:
Cell: 6.0413 6.0413 6.0413 Å, 90.00 90.00 90.00°
Space group P-43m (No. 215)
Asymmetric unit:
Rb1 0.0000 0.0000 0.0000 x1
Zr1 0.5000 0.5000 0.5000 x1
Hg1 0.0000 0.5000 0.5000 x3
O1 0.3062 0.3062 0.3062 x4

Top 6 peaks for 2θ = 10–80°, in order of rising 2θ:
2θ = 14.66°, rel. 417, (1 0 0)
2θ = 25.54°, rel. 1000, (1 1 1)
2θ = 29.57°, rel. 788, (2 0 0)
2θ = 42.31°, rel. 760, (2 2 0)
2θ = 50.08°, rel. 512, (3 1 1)
2θ = 69.60°, rel. 317, (4 2 0)

Computed X-ray powder pattern of Lu4SnSN2 for Cu Kα (weighted mean of Kα1 and Kα2), from DFT lattice parameters and positions (GGA-PBE).

Structural model:
Cell: 3.4670 3.4670 13.6146 Å, 90.00 90.00 120.00°
Space group P-6m2 (No. 187)
Asymmetric unit:
Lu1 0.0000 0.0000 0.1349 x2
Lu2 0.6667 0.3333 0.3209 x2
Sn1 0.0000 0.0000 0.5000 x1
S1 0.6667 0.3333 0.0000 x1
N1 0.3333 0.6667 0.2275 x2

Top 6 peaks for 2θ = 10–80°, in order of rising 2θ:
2θ = 29.76°, rel. 292, (1 0 0)
2θ = 32.60°, rel. 149, (1 0 2)
2θ = 35.86°, rel. 1000, (1 0 3)
2θ = 52.81°, rel. 278, (1 1 0)
2θ = 62.76°, rel. 170, (1 0 8)
2θ = 65.49°, rel. 175, (2 0 3)

Computed X-ray powder pattern of Y2HoTm3As2Os for Cu Kα (weighted mean of Kα1 and Kα2), from DFT lattice parameters and positions (GGA-PBE).

Structural model:
Cell: 4.1486 13.5730 7.7925 Å, 90.00 90.00 90.00°
Space group Amm2 (No. 38)
Asymmetric unit:
Y1 0.0000 0.2025 0.0000 x4
Ho1 0.0000 0.0000 0.3940 x2
Tm1 0.5000 0.0000 0.0399 x2
Tm2 0.5000 0.1217 0.6751 x4
As1 0.5000 0.1666 0.2971 x4
Os1 0.0000 0.0000 0.7938 x2

Top 6 peaks for 2θ = 10–80°, in order of rising 2θ:
2θ = 13.07°, rel. 620, (0 2 0)
2θ = 31.45°, rel. 991, (1 0 2)
2θ = 34.19°, rel. 1000, (1 4 0)
2θ = 35.04°, rel. 387, (0 4 2)
2θ = 41.43°, rel. 430, (1 4 2)
2θ = 43.64°, rel. 302, (2 0 0)

Computed X-ray powder pattern of HoAuSeO for Cu Kα (weighted mean of Kα1 and Kα2), from DFT lattice parameters and positions (GGA-PBE).

Structural model:
Cell: 9.6108 5.5864 5.6046 Å, 90.00 90.00 90.00°
Space group Aem2 (No. 39)
Asymmetric unit:
Ho1 0.1127 0.2500 0.0000 x4
Au1 0.5000 0.0000 0.0009 x4
Se1 0.2775 0.2500 0.5008 x4
O1 0.0000 0.0000 0.2500 x4

Top 6 peaks for 2θ = 10–80°, in order of rising 2θ:
2θ = 29.24°, rel. 990, (2 1 1)
2θ = 31.94°, rel. 1000, (0 0 2)
2θ = 33.41°, rel. 839, (1 2 0)
2θ = 36.07°, rel. 694, (3 1 1)
2θ = 37.21°, rel. 650, (2 2 0)
2θ = 46.89°, rel. 813, (1 2 2)

Computed X-ray powder pattern of Co4Ni9 for Cu Kα (weighted mean of Kα1 and Kα2), from DFT lattice parameters and positions (GGA-PBE).

Structural model:
Cell: 4.5652 4.5652 24.1754 Å, 90.00 90.00 120.00°
Space group R-3m (No. 166, hexagonal axes)
Asymmetric unit:
Co1 0.0000 0.0000 0.1512 x6
Co2 0.0000 0.0000 0.3340 x6
Ni1 0.0000 0.0000 0.0471 x6
Ni2 0.0000 0.0000 0.5000 x3
Ni3 0.0032 0.5016 0.9120 x18

Top 6 peaks for 2θ = 10–80°, in order of rising 2θ:
2θ = 39.48°, rel. 491, (1 1 0)
2θ = 43.90°, rel. 450, (1 0 10)
2θ = 45.68°, rel. 1000, (1 1 6)
2θ = 46.07°, rel. 507, (0 2 1)
2θ = 47.32°, rel. 566, (0 1 11)
2θ = 49.84°, rel. 546, (2 0 5)

Computed X-ray powder pattern of LaNd2Nb2N6 for Cu Kα (weighted mean of Kα1 and Kα2), from DFT lattice parameters and positions (GGA-PBE).

Structural model:
Cell: 4.0766 4.0766 19.8003 Å, 90.00 90.00 90.00°
Space group I4/mmm (No. 139)
Asymmetric unit:
La1 0.0000 0.0000 0.0000 x2
Nd1 0.0000 0.0000 0.1785 x4
Nb1 0.0000 0.0000 0.3968 x4
N1 0.0000 0.0000 0.2986 x4
N2 0.0000 0.5000 0.0856 x8

Top 6 peaks for 2θ = 10–80°, in order of rising 2θ:
2θ = 31.02°, rel. 656, (1 1 0)
2θ = 31.50°, rel. 1000, (1 0 5)
2θ = 41.60°, rel. 168, (1 1 6)
2θ = 44.45°, rel. 333, (2 0 0)
2θ = 55.49°, rel. 405, (2 1 5)
2θ = 73.46°, rel. 111, (3 1 0)

Computed X-ray powder pattern of Cu2GeSeS2 for Cu Kα (weighted mean of Kα1 and Kα2), from DFT lattice parameters and positions (GGA-PBE).

Structural model:
Cell: 3.8694 11.3736 5.4152 Å, 90.00 90.00 90.00°
Space group Imm2 (No. 44)
Asymmetric unit:
Cu1 0.0000 0.1760 0.0000 x4
Ge1 0.0000 0.5000 0.9427 x2
Se1 0.0000 0.0000 0.7334 x2
S1 0.0000 0.3307 0.7264 x4

Top 6 peaks for 2θ = 10–80°, in order of rising 2θ:
2θ = 28.35°, rel. 1000, (1 0 1)
2θ = 28.75°, rel. 947, (0 3 1)
2θ = 46.97°, rel. 232, (2 0 0)
2θ = 47.49°, rel. 825, (1 3 2)
2θ = 56.00°, rel. 267, (2 3 1)
2θ = 56.68°, rel. 250, (1 6 1)

Computed X-ray powder pattern of Rb2HgO2 for Cu Kα (weighted mean of Kα1 and Kα2), from DFT lattice parameters and positions (GGA-PBE).

Structural model:
Cell: 5.6317 7.5836 11.6368 Å, 90.00 90.00 90.00°
Space group P2_12_12_1 (No. 19)
Asymmetric unit:
Rb1 0.0029 0.1039 0.0974 x4
Rb2 0.0043 0.6579 0.7470 x4
Hg1 0.0065 0.5857 0.0590 x4
O1 0.0033 0.4091 0.9303 x4
O2 0.0112 0.7564 0.1887 x4

Top 6 peaks for 2θ = 10–80°, in order of rising 2θ:
2θ = 21.08°, rel. 487, (1 1 1)
2θ = 27.93°, rel. 1000, (1 0 3)
2θ = 28.38°, rel. 940, (1 2 0)
2θ = 31.78°, rel. 561, (2 0 0)
2θ = 33.03°, rel. 754, (0 2 3)
2θ = 46.49°, rel. 575, (2 2 3)

Computed X-ray powder pattern of DyYIn2Pt4 for Cu Kα (weighted mean of Kα1 and Kα2), from DFT lattice parameters and positions (GGA-PBE).

Structural model:
Cell: 4.5799 4.5799 9.0460 Å, 90.00 90.00 120.00°
Space group P-6m2 (No. 187)
Asymmetric unit:
Dy1 0.0000 0.0000 0.0000 x1
Y1 0.3333 0.6667 0.5000 x1
In1 0.6667 0.3333 0.2499 x2
Pt1 0.0000 0.0000 0.3415 x2
Pt2 0.3333 0.6667 0.1567 x2

Top 6 peaks for 2θ = 10–80°, in order of rising 2θ:
2θ = 22.42°, rel. 190, (1 0 0)
2θ = 37.47°, rel. 1000, (1 0 3)
2θ = 39.35°, rel. 899, (1 1 0)
2θ = 55.46°, rel. 326, (2 0 3)
2θ = 70.10°, rel. 324, (2 1 3)
2θ = 71.34°, rel. 156, (3 0 0)

Computed X-ray powder pattern of TbHfAu4 for Cu Kα (weighted mean of Kα1 and Kα2), from DFT lattice parameters and positions (GGA-PBE).

Structural model:
Cell: 3.6415 3.6415 8.9370 Å, 90.00 90.00 90.00°
Space group P4/mmm (No. 123)
Asymmetric unit:
Tb1 0.0000 0.0000 0.0000 x1
Hf1 0.5000 0.5000 0.5000 x1
Au1 0.0000 0.0000 0.3410 x2
Au2 0.5000 0.5000 0.1753 x2

Top 6 peaks for 2θ = 10–80°, in order of rising 2θ:
2θ = 34.84°, rel. 692, (1 1 0)
2θ = 39.07°, rel. 1000, (1 0 3)
2θ = 50.10°, rel. 251, (2 0 0)
2θ = 65.30°, rel. 449, (2 1 3)
2θ = 73.44°, rel. 153, (1 1 6)
2θ = 73.57°, rel. 81, (2 2 0)

Computed X-ray powder pattern of Sn3Ir2Se3 for Cu Kα (weighted mean of Kα1 and Kα2), from DFT lattice parameters and positions (GGA-PBE).

Structural model:
Cell: 12.8208 12.8208 15.7218 Å, 90.00 90.00 120.00°
Space group R-3 (No. 148, hexagonal axes)
Asymmetric unit:
Sn1 0.0099 0.1713 0.3396 x18
Sn2 0.0604 0.6051 0.6068 x18
Ir1 0.0000 0.0000 0.2454 x6
Ir2 0.9996 0.4990 0.2443 x18
Se1 0.0166 0.1809 0.8341 x18
Se2 0.0516 0.6013 0.1006 x18

Top 6 peaks for 2θ = 10–80°, in order of rising 2θ:
2θ = 19.58°, rel. 769, (2 0 2)
2θ = 27.82°, rel. 386, (2 2 0)
2θ = 31.19°, rel. 957, (3 1 2)
2θ = 37.09°, rel. 321, (4 -3 4)
2θ = 44.68°, rel. 1000, (6 -2 2)
2θ = 49.22°, rel. 680, (6 0 0)

Computed X-ray powder pattern of Ho2TmS3 for Cu Kα (weighted mean of Kα1 and Kα2), from DFT lattice parameters and positions (GGA-PBE).

Structural model:
Cell: 3.8596 3.8596 9.4838 Å, 90.00 90.00 120.00°
Space group P-3m1 (No. 164)
Asymmetric unit:
Ho1 0.3333 0.6667 0.1663 x2
Tm1 0.0000 0.0000 0.5000 x1
S1 0.0000 0.0000 0.0000 x1
S2 0.3333 0.6667 0.6636 x2

Top 6 peaks for 2θ = 10–80°, in order of rising 2θ:
2θ = 28.29°, rel. 844, (1 0 1)
2θ = 32.78°, rel. 1000, (0 1 2)
2θ = 46.99°, rel. 361, (1 0 4)
2θ = 47.09°, rel. 358, (1 1 0)
2θ = 55.78°, rel. 307, (1 1 3)
2θ = 58.56°, rel. 186, (2 0 2)